Diffraction record for Mn3Ag4O8. The X-ray diffraction stick pattern is calculated, not measured: it uses a cell relaxed with PBE+U and a wavelength of 1.5418 Å.
Kinematic intensities with the Lorentz-polarization factor, no thermal factor.

The 10 most intense peaks (10 to 80 degrees two-theta), in order of rising 2θ:
Position (°2θ)	intensity
13.80	29
27.47	36
29.17	27
29.47	100
32.61	37
35.03	29
36.67	31
36.81	36
40.02	27
40.90	31

Structure:
Lattice parameters (Å, degrees): 8.997 9.099 9.287 89.87 89.41 89.86
Space group P1 (No. 1)
Symmetry-distinct sites (fractional):
1 Mn 0.000 0.000 0.000 (multiplicity 1)
2 Mn 0.034 0.207 0.746 (multiplicity 1)
3 Mn 0.075 0.461 0.542 (multiplicity 1)
4 Mn 0.246 0.961 0.791 (multiplicity 1)
5 Mn 0.283 0.713 0.586 (multiplicity 1)
6 Mn 0.325 0.502 0.335 (multiplicity 1)
7 Mn 0.495 0.753 0.837 (multiplicity 1)
8 Mn 0.537 0.544 0.087 (multiplicity 1)
9 Mn 0.574 0.288 0.294 (multiplicity 1)
10 Mn 0.745 0.794 0.042 (multiplicity 1)
11 Mn 0.789 0.035 0.251 (multiplicity 1)
12 Mn 0.828 0.244 0.493 (multiplicity 1)
13 Ag 0.075 0.331 0.149 (multiplicity 1)
14 Ag 0.117 0.854 0.312 (multiplicity 1)
15 Ag 0.159 0.679 0.054 (multiplicity 1)
16 Ag 0.254 0.103 0.429 (multiplicity 1)
17 Ag 0.279 0.427 0.877 (multiplicity 1)
18 Ag 0.359 0.158 0.063 (multiplicity 1)
19 Ag 0.428 0.253 0.634 (multiplicity 1)
20 Ag 0.443 0.887 0.277 (multiplicity 1)
21 Ag 0.630 0.910 0.536 (multiplicity 1)
22 Ag 0.650 0.083 0.793 (multiplicity 1)
23 Ag 0.667 0.412 0.760 (multiplicity 1)
24 Ag 0.671 0.598 0.514 (multiplicity 1)
25 Ag 0.774 0.281 0.011 (multiplicity 1)
26 Ag 0.893 0.771 0.687 (multiplicity 1)
27 Ag 0.905 0.620 0.285 (multiplicity 1)
28 Ag 0.922 0.533 0.901 (multiplicity 1)
29 O 0.003 0.209 0.956 (multiplicity 1)
30 O 0.025 0.992 0.785 (multiplicity 1)
31 O 0.049 0.240 0.534 (multiplicity 1)
32 O 0.063 0.418 0.747 (multiplicity 1)
33 O 0.074 0.670 0.567 (multiplicity 1)
34 O 0.113 0.475 0.336 (multiplicity 1)
35 O 0.209 0.977 0.996 (multiplicity 1)
36 O 0.244 0.172 0.765 (multiplicity 1)
37 O 0.255 0.920 0.589 (multiplicity 1)
38 O 0.275 0.742 0.801 (multiplicity 1)
39 O 0.295 0.491 0.548 (multiplicity 1)
40 O 0.310 0.712 0.378 (multiplicity 1)
41 O 0.328 0.532 0.129 (multiplicity 1)
42 O 0.362 0.293 0.318 (multiplicity 1)
43 O 0.454 0.957 0.828 (multiplicity 1)
44 O 0.496 0.728 0.627 (multiplicity 1)
45 O 0.506 0.543 0.881 (multiplicity 1)
46 O 0.527 0.759 0.054 (multiplicity 1)
47 O 0.545 0.510 0.302 (multiplicity 1)
48 O 0.552 0.330 0.089 (multiplicity 1)
49 O 0.579 0.081 0.257 (multiplicity 1)
50 O 0.617 0.281 0.493 (multiplicity 1)
51 O 0.705 0.787 0.839 (multiplicity 1)
52 O 0.750 0.583 0.071 (multiplicity 1)
53 O 0.759 0.827 0.245 (multiplicity 1)
54 O 0.779 0.009 0.034 (multiplicity 1)
55 O 0.797 0.255 0.281 (multiplicity 1)
56 O 0.815 0.037 0.454 (multiplicity 1)
57 O 0.823 0.222 0.702 (multiplicity 1)
58 O 0.867 0.453 0.506 (multiplicity 1)
59 O 0.958 0.795 0.004 (multiplicity 1)
60 O 0.999 0.029 0.206 (multiplicity 1)


Diffraction record for UBeCoO6. The X-ray diffraction stick pattern is calculated, not measured: it uses a cell relaxed with PBE+U and a wavelength of 1.5418 Å.
Kinematic intensities with the Lorentz-polarization factor, no thermal factor.

The 10 most intense peaks (10 to 80 degrees two-theta), in order of rising 2θ:
Position (°2θ)	intensity
20.18	32
21.62	100
27.13	79
34.05	40
36.21	54
38.75	16
44.07	21
44.80	35
54.07	50
68.49	16

Structure:
Lattice parameters (Å, degrees): 4.648 4.648 8.801 90.00 90.00 90.00
Space group P4_2nm (No. 102)
Symmetry-distinct sites (fractional):
1 U 0.000 0.000 0.000 (multiplicity 2)
2 Be 0.000 0.000 0.646 (multiplicity 2)
3 Co 0.000 0.000 0.338 (multiplicity 2)
4 O 0.174 0.174 0.506 (multiplicity 4)
5 O 0.201 0.201 0.177 (multiplicity 4)
6 O 0.209 0.209 0.827 (multiplicity 4)